Structure and computed powder diffraction line list of KAlF4 (DFT lattice parameters and positions (PBE); Cu Kα X-rays).
Intensities are scaled so that the largest is 100.

Principal peaks in the range 2θ = 10–90°, low angle first:
(0 0 1), 2θ = 14.08°, I 11.2; (1 1 0), 2θ = 24.58°, I 8.9; (0 0 2), 2θ = 28.42°, I 100.0; (2 0 0), 2θ = 35.03°, I 36.0; (2 0 1), 2θ = 37.91°, I 56.8; (2 1 1), 2θ = 41.97°, I 6.9; (2 2 0), 2θ = 50.34°, I 65.5; (0 0 4), 2θ = 58.73°, I 9.9; (3 1 1), 2θ = 58.87°, I 32.2; (4 0 0), 2θ = 73.97°, I 29.3; (2 2 4), 2θ = 80.98°, I 12.2; (4 2 0), 2θ = 84.61°, I 6.8

Structure:
Unit cell a=5.1224 b=5.1224 c=6.2882 alpha=90.00 beta=90.00 gamma=90.00
Sites, in units of the cell vectors:
1 K 0.0000 0.5000 0.0000
2 K 0.5000 0.0000 0.0000
3 Al 0.0000 0.0000 0.5000
4 Al 0.5000 0.5000 0.5000
5 F 0.0000 0.0000 0.2153
6 F 0.0000 0.0000 0.7847
7 F 0.2000 0.3000 0.5000
8 F 0.3000 0.8000 0.5000
9 F 0.5000 0.5000 0.2153
10 F 0.5000 0.5000 0.7847
11 F 0.7000 0.2000 0.5000
12 F 0.8000 0.7000 0.5000